Li3Hg5: theoretical powder XRD pattern (Cu Kα (weighted mean of Kα1 and Kα2)), based on the GGA-PBE geometry in Alexandria.
No peak broadening, texture or thermal motion is included.

Principal peaks in the range 2θ = 15–90°, sorted by position:
- 2θ = 24.2°, rel. 234
- 2θ = 24.3°, rel. 234
- 2θ = 26.5°, rel. 379
- 2θ = 36.2°, rel. 1000
- 2θ = 37.7°, rel. 234
- 2θ = 38.0°, rel. 298

Structure:
```
data_Li3Hg5
_space_group_name_H-M_alt 'C m c m'
_space_group_IT_number 63
_space_group_name_Hall '-C 2c 2'
_cell_length_a 9.4851
_cell_length_b 7.3365
_cell_length_c 9.5351
_cell_angle_alpha 90.00
_cell_angle_beta 90.00
_cell_angle_gamma 90.00
loop_
_atom_site_label
_atom_site_type_symbol
_atom_site_fract_x
_atom_site_fract_y
_atom_site_fract_z
Li1 Li 0.0000 0.0375 0.2500
Li2 Li 0.2238 0.5000 0.0000
Hg1 Hg 0.0000 0.2112 0.5148
Hg2 Hg 0.0000 0.4585 0.2500
Hg3 Hg 0.2297 0.2483 0.7500
```